[1]
Computed powder XRD pattern
Compound: Ho4ThSc15
Radiation: Cu Kα
Structure: the PBE geometry in Alexandria
Kinematic intensities with the Lorentz-polarization factor, no thermal factor.

Main lines, by angle (5 to 70 degrees two-theta):
| (hkl) | 2θ/deg | d/Å | intensity |
| --- | --- | --- | --- |
| 1 0 0 | 18.9 | 4.705 | 50 |
| 1 1 0 | 26.8 | 3.327 | 44 |
| 1 1 5 | 33.0 | 2.717 | 100 |
| 2 0 0 | 38.2 | 2.355 | 33 |
| 0 0 10 | 38.3 | 2.348 | 16 |
| 2 1 0 | 43.0 | 2.106 | 17 |
| 2 1 5 | 47.3 | 1.921 | 20 |
| 2 2 0 | 55.2 | 1.664 | 33 |
| 3 0 0 | 58.9 | 1.569 | 13 |
| 3 1 5 | 65.8 | 1.420 | 25 |

Cell and atoms:
```
data_Ho4ThSc15
_cell_length_a 4.710
_cell_length_b 4.710
_cell_length_c 23.482
_cell_angle_alpha 90.00
_cell_angle_beta 90.00
_cell_angle_gamma 90.00
_symmetry_space_group_name_H-M 'P 4/m m m'
_symmetry_Int_Tables_number 123
_symmetry_space_group_name_Hall '-P 4 2'
loop_
_atom_site_label
_atom_site_fract_x
_atom_site_fract_y
_atom_site_fract_z
Ho1 0.000 0.000 0.100
Ho2 0.000 0.000 0.300
Th1 0.000 0.000 0.500
Sc1 0.000 0.500 0.000
Sc2 0.000 0.500 0.200
Sc3 0.000 0.500 0.400
Sc4 0.500 0.500 0.100
Sc5 0.500 0.500 0.299
Sc6 0.500 0.500 0.500
```



[2]
Computed powder XRD pattern
Compound: KCu9Si4
Radiation: Cu Kα
Structure: the PBE geometry in Alexandria
Kinematic intensities with the Lorentz-polarization factor, no thermal factor.

Main lines, by angle (5 to 70 degrees two-theta):
| (hkl) | 2θ/deg | d/Å | intensity |
| --- | --- | --- | --- |
| 0 0 2 | 15.1 | 5.869 | 28 |
| 1 1 0 | 15.3 | 5.776 | 46 |
| 2 1 1 | 25.5 | 3.488 | 26 |
| 0 0 4 | 30.5 | 2.934 | 18 |
| 3 1 2 | 38.1 | 2.364 | 100 |
| 2 1 5 | 46.0 | 1.975 | 70 |
| 3 2 3 | 46.3 | 1.961 | 82 |
| 0 0 6 | 46.5 | 1.954 | 69 |
| 3 1 4 | 46.9 | 1.939 | 21 |
| 3 3 0 | 47.2 | 1.927 | 44 |

Cell and atoms:
```
data_KCu9Si4
_cell_length_a 8.168
_cell_length_b 8.168
_cell_length_c 11.737
_cell_angle_alpha 90.00
_cell_angle_beta 90.00
_cell_angle_gamma 90.00
_symmetry_space_group_name_H-M 'I 4/m c m'
_symmetry_Int_Tables_number 140
_symmetry_space_group_name_Hall '-I 4 2c'
loop_
_atom_site_label
_atom_site_fract_x
_atom_site_fract_y
_atom_site_fract_z
K1 0.000 0.000 0.250
Cu1 0.000 0.500 0.000
Cu2 0.065 0.205 0.000
Cu3 0.124 0.376 0.184
Si1 0.176 0.324 0.384
```



[3]
Computed powder XRD pattern
Compound: K2Rb5O4
Radiation: Cu Kα
Structure: the PBE geometry in Alexandria
Kinematic intensities with the Lorentz-polarization factor, no thermal factor.

Main lines, by angle (5 to 70 degrees two-theta):
| (hkl) | 2θ/deg | d/Å | intensity |
| --- | --- | --- | --- |
| 0 0 1 | 9.1 | 9.758 | 41 |
| 2 0 1 | 16.4 | 5.395 | 33 |
| 2 0 -3 | 26.5 | 3.366 | 36 |
| 3 1 0 | 26.9 | 3.320 | 100 |
| 1 1 -2 | 27.1 | 3.287 | 57 |
| 6 0 0 | 34.4 | 2.609 | 43 |
| 1 1 3 | 36.4 | 2.470 | 50 |
| 5 1 -3 | 39.7 | 2.270 | 40 |
| 0 2 0 | 42.0 | 2.151 | 24 |
| 6 2 0 | 55.4 | 1.660 | 21 |

Cell and atoms:
```
data_K2Rb5O4
_cell_length_a 16.346
_cell_length_b 4.303
_cell_length_c 10.188
_cell_angle_alpha 90.00
_cell_angle_beta 106.72
_cell_angle_gamma 90.00
_symmetry_space_group_name_H-M 'C 1 2/m 1'
_symmetry_Int_Tables_number 12
_symmetry_space_group_name_Hall '-C 2y'
loop_
_atom_site_label
_atom_site_fract_x
_atom_site_fract_y
_atom_site_fract_z
K1 0.002 0.000 0.350
Rb1 0.000 0.000 0.000
Rb2 0.165 0.500 0.756
Rb3 0.168 0.500 0.397
O1 0.001 0.500 0.798
O2 0.150 0.000 0.577
```